(1)
Diffraction record for Li4Fe3Co3Ni2O16. The powder X-ray diffraction pattern is simulated, not measured: it uses the PBE+U geometry in Alexandria and λ = 1.5418 Å (Cu Kα).

Largest 10 diffraction maxima, by angle, 15 to 90 degrees two-theta:
| 2θ (°) | Rel. int. |
| --- | --- |
| 18.60 | 100.0 |
| 20.07 | 46.2 |
| 20.21 | 87.5 |
| 33.44 | 35.7 |
| 36.49 | 55.6 |
| 37.55 | 48.3 |
| 41.09 | 30.9 |
| 46.50 | 50.9 |
| 61.35 | 42.8 |
| 64.88 | 34.9 |

Atomic structure:
Cell: 5.7492 5.7492 9.5413 Å, 90.05 90.05 59.42°
Atoms (fractional coordinates):
Li 0.0000 0.0000 0.0000
Li 0.0051 0.0051 0.5003
Li 0.3465 0.3465 0.3936
Li 0.6777 0.6777 0.8927
Fe 0.1804 0.1804 0.7167
Fe 0.3471 0.8421 0.2161
Fe 0.8421 0.3471 0.2161
Co 0.1797 0.6735 0.7153
Co 0.6735 0.1797 0.7153
Co 0.8416 0.8416 0.2165
Ni 0.3453 0.3453 0.9928
Ni 0.6779 0.6779 0.4914
O 0.0034 0.0034 0.8158
O 0.0085 0.0085 0.3134
O 0.0482 0.5012 0.8312
O 0.1641 0.1641 0.1049
O 0.1655 0.6893 0.1123
O 0.3270 0.8440 0.6101
O 0.3513 0.3513 0.6046
O 0.4930 0.4930 0.8270
O 0.5012 0.0482 0.8312
O 0.5301 0.5301 0.3318
O 0.5305 0.9762 0.3299
O 0.6790 0.6790 0.1110
O 0.6893 0.1655 0.1123
O 0.8440 0.3270 0.6101
O 0.8505 0.8505 0.6131
O 0.9762 0.5305 0.3299

---

(2)
Diffraction record for Li4VTe3O12. The powder X-ray diffraction pattern is simulated, not measured: it uses the PBE+U geometry in Alexandria and λ = 1.5418 Å (Cu Kα).

Largest 10 diffraction maxima, by angle, 15 to 90 degrees two-theta:
| 2θ (°) | Rel. int. |
| --- | --- |
| 19.84 | 40.3 |
| 20.30 | 100.0 |
| 31.43 | 36.1 |
| 32.61 | 31.8 |
| 35.14 | 17.2 |
| 39.40 | 12.1 |
| 41.32 | 14.4 |
| 48.82 | 13.9 |
| 50.09 | 13.3 |
| 51.70 | 13.4 |

Atomic structure:
Cell: 5.0497 8.7976 5.2069 Å, 90.00 93.45 90.00°
Atoms (fractional coordinates):
Li 0.0000 0.0000 0.0000
Li 0.0000 0.3118 0.5000
Li 0.5000 0.4841 0.5000
Li 0.5000 0.8805 0.0000
V 0.5000 0.0748 0.5000
Te 0.0000 0.5769 0.0000
Te 0.0000 0.7793 0.5000
Te 0.5000 0.2531 0.0000
O 0.2028 0.7577 0.8324
O 0.2157 0.6183 0.3522
O 0.2362 0.9277 0.3561
O 0.2833 0.4014 0.8137
O 0.2901 0.2318 0.3055
O 0.3063 0.0832 0.8193
O 0.6937 0.0832 0.1807
O 0.7099 0.2318 0.6945
O 0.7167 0.4014 0.1863
O 0.7638 0.9277 0.6439
O 0.7843 0.6183 0.6478
O 0.7972 0.7577 0.1676